For SiH6F12, a crystal structure in Alexandria, relaxed with PBE gives the computed powder XRD pattern in this record (a wavelength of 1.5418 Å).
Neutral-atom scattering factors, no anomalous dispersion.

Atomic structure:
```
19
Lattice="6.006 0.000 0.000 0.628 6.016 0.000 0.535 1.371 6.333" Properties=species:S:1:pos:R:3 pbc="T T T"
Si 0.000 0.000 0.000
H 1.260 1.305 2.092
H 2.161 5.056 5.139
H 2.254 2.380 4.603
H 4.914 5.007 1.731
H 5.008 2.331 1.195
H 5.908 6.082 4.242
F 0.974 5.958 5.273
F 1.339 5.071 1.140
F 2.108 1.682 5.639
F 1.957 1.096 2.758
F 2.372 2.983 3.719
F 2.969 4.490 5.119
F 4.199 2.897 1.215
F 4.797 4.404 2.614
F 5.211 6.291 3.575
F 5.060 5.705 0.694
F 5.829 2.316 5.193
F 6.194 1.429 1.060
```

Largest 12 diffraction maxima, in order of rising 2θ, 2θ = 10–90°:
2θ (°)	intensity
13.98	33
14.86	45
15.07	70
18.29	26
19.81	100
22.16	90
26.98	77
32.77	22
34.02	56
37.06	50
38.32	50
49.27	30



For K2BrN2, a crystal structure in Alexandria, relaxed with PBE gives the computed powder XRD pattern in this record (a wavelength of 1.5418 Å).
Neutral-atom scattering factors, no anomalous dispersion.

Atomic structure:
```
5
Lattice="3.760 -2.517 0.000 3.760 2.517 0.000 -2.683 0.000 7.319" Properties=species:S:1:pos:R:3 pbc="T T T"
K 1.079 0.000 1.958
K 3.758 0.000 5.361
Br 3.760 0.000 0.000
N 2.418 1.923 3.659
N 2.418 -1.923 3.659
```

Largest 12 diffraction maxima, in order of rising 2θ, 2θ = 10–90°:
2θ (°)	intensity
12.09	16
21.68	14
23.92	10
26.97	100
28.45	44
29.29	16
35.67	18
39.01	32
40.20	30
41.19	16
46.25	16
66.70	11



For SmDy5Tm6, a crystal structure in Alexandria, relaxed with PBE gives the computed powder XRD pattern in this record (a wavelength of 1.5418 Å).
Neutral-atom scattering factors, no anomalous dispersion.

Atomic structure:
```
12
Lattice="-2.488 4.968 7.482 2.488 -4.968 7.482 2.488 4.968 -7.482" Properties=species:S:1:pos:R:3 pbc="T T T"
Sm 0.000 0.000 0.000
Dy 2.488 0.000 2.505
Dy 0.000 0.000 4.987
Dy 0.000 4.968 0.000
Dy 0.000 0.000 9.977
Dy 0.000 4.968 4.976
Tm 2.488 -2.479 4.985
Tm 2.488 2.495 0.000
Tm 0.000 2.489 2.497
Tm 2.488 2.479 4.985
Tm 0.000 2.472 7.482
Tm 0.000 7.446 2.497
```

Largest 12 diffraction maxima, in order of rising 2θ, 2θ = 10–90°:
2θ (°)	intensity
31.12	100
36.05	34
36.16	17
51.93	24
52.02	12
61.71	14
61.87	28
64.89	12
84.88	12
85.02	6
87.52	6
87.69	6



For Pm3AgSn3Se8, a crystal structure in Alexandria, relaxed with PBE gives the computed powder XRD pattern in this record (a wavelength of 1.5418 Å).
Neutral-atom scattering factors, no anomalous dispersion.

Atomic structure:
```
15
Lattice="4.187 2.417 7.068 -4.187 2.417 7.068 0.000 -4.835 7.068" Properties=species:S:1:pos:R:3 pbc="T T T"
Pm -2.093 -1.209 7.068
Pm -2.093 1.209 14.135
Pm 0.000 2.417 7.068
Ag 0.000 0.000 0.000
Sn -4.187 0.000 10.601
Sn -2.093 1.209 3.534
Sn 2.093 1.209 3.534
Se 0.000 -2.401 8.756
Se -2.079 1.200 8.756
Se 0.000 0.000 5.352
Se -2.079 -1.200 12.447
Se 2.079 1.200 8.756
Se 0.000 0.000 15.851
Se 2.079 -1.200 12.447
Se 0.000 2.401 12.447
```

Largest 12 diffraction maxima, in order of rising 2θ, 2θ = 10–90°:
2θ (°)	intensity
12.52	6
29.85	100
42.24	38
43.21	36
51.74	7
53.41	19
62.02	12
69.63	17
71.04	17
76.54	7
78.58	13
79.26	6